[1]
This entry pairs a crystal structure of Tb8SnSb5 with its simulated X-ray powder pattern. Radiation: Cu Kα X-rays. Structure: a GGA-PBE-relaxed structure.

Cell lengths 9.2537, 9.2537, 9.2467 Å; angles 90.00, 90.00, 90.00 degrees
Space group I-4 (No. 82)
Symmetry-distinct sites (fractional):
Tb 0.0713 0.1772 0.3025 [8 per cell]
Tb 0.0717 0.3222 0.9463 [8 per cell]
Sn 0.0000 0.0000 0.0000 [2 per cell]
Sb 0.0000 0.5000 0.2500 [2 per cell]
Sb 0.1250 0.2500 0.6245 [8 per cell]

Most intense lines, 10° ≤ 2θ ≤ 80°, in order of rising 2θ:
2.926 Å, rel. 100; 2.473 Å, rel. 68; 2.069 Å, rel. 10; 1.972 Å, rel. 8; 1.888 Å, rel. 18; 1.814 Å, rel. 24; 1.501 Å, rel. 25; 1.463 Å, rel. 12; 1.428 Å, rel. 15; 1.259 Å, rel. 15


[2]
This entry pairs a crystal structure of YAlGaNi2 with its simulated X-ray powder pattern. Radiation: Cu Kα X-rays. Structure: a GGA-PBE-relaxed structure.

Cell lengths 4.2216, 12.6019, 6.3362 Å; angles 90.00, 90.00, 90.00 degrees
Space group Cmcm (No. 63)
Symmetry-distinct sites (fractional):
Y 0.0000 0.1208 0.2500 [4 per cell]
Al 0.0000 0.1731 0.7500 [4 per cell]
Ga 0.0000 0.5000 0.0000 [4 per cell]
Ni 0.0000 0.3115 0.0365 [8 per cell]

Most intense lines, 10° ≤ 2θ ≤ 80°, in order of rising 2θ:
4.468 Å, rel. 14; 3.384 Å, rel. 26; 2.484 Å, rel. 100; 2.234 Å, rel. 30; 2.170 Å, rel. 25; 2.164 Å, rel. 54; 2.111 Å, rel. 41; 1.787 Å, rel. 15; 1.534 Å, rel. 17; 1.279 Å, rel. 23


[3]
This entry pairs a crystal structure of Nd8Ho6Pu with its simulated X-ray powder pattern. Radiation: Cu Kα X-rays. Structure: a GGA-PBE-relaxed structure.

Cell lengths 9.9214, 9.9214, 5.9035 Å; angles 90.00, 90.00, 120.00 degrees
Space group P3 (No. 143)
Symmetry-distinct sites (fractional):
Nd 0.0000 0.0000 0.0000 [1 per cell]
Nd 0.0656 0.4503 0.5266 [3 per cell]
Nd 0.1193 0.7178 0.0060 [3 per cell]
Nd 0.6667 0.3333 0.5328 [1 per cell]
Ho 0.2391 0.1914 0.5138 [3 per cell]
Ho 0.4275 0.1437 0.0187 [3 per cell]
Pu 0.3333 0.6667 0.2714 [1 per cell]

Most intense lines, 10° ≤ 2θ ≤ 80°, in order of rising 2θ:
3.248 Å, rel. 17; 2.952 Å, rel. 20; 2.845 Å, rel. 100; 2.184 Å, rel. 23; 1.875 Å, rel. 22; 1.683 Å, rel. 20; 1.583 Å, rel. 16; 1.566 Å, rel. 15; 1.423 Å, rel. 7; 1.202 Å, rel. 10


[4]
This entry pairs a crystal structure of Si23S with its simulated X-ray powder pattern. Radiation: Cu Kα X-rays. Structure: a GGA-PBE-relaxed structure.

Cell lengths 10.2149, 10.2149, 10.2149 Å; angles 90.00, 90.00, 90.00 degrees
Space group Pm-3n (No. 223)
Symmetry-distinct sites (fractional):
Si 0.0000 0.1167 0.3084 [24 per cell]
Si 0.0000 0.2500 0.5000 [6 per cell]
Si 0.1824 0.1824 0.1824 [16 per cell]
S 0.0000 0.0000 0.0000 [2 per cell]

Most intense lines, 10° ≤ 2θ ≤ 80°, in order of rising 2θ:
7.223 Å, rel. 37; 4.568 Å, rel. 77; 4.170 Å, rel. 22; 2.730 Å, rel. 100; 2.477 Å, rel. 26; 2.229 Å, rel. 24; 1.752 Å, rel. 51; 1.727 Å, rel. 22; 1.702 Å, rel. 23; 1.657 Å, rel. 45